This entry pairs a crystal structure of Ta2FeAs with its computed powder XRD pattern. Radiation: Cu Kα (weighted mean of Kα1 and Kα2). Structure: a GGA-PBE-relaxed structure.
Peak positions follow from Bragg's law for the DFT cell and can differ from measured ones.

Peak list (10 most intense, 5° ≤ 2θ ≤ 70°, in order of rising 2θ)
2θ (°)	I/Imax
17.19	10
29.80	29
34.79	10
37.79	100
37.96	55
42.80	50
49.47	21
52.43	9
56.22	14
64.01	24

Cell and atoms:
```
data_Ta2FeAs
_chemical_formula_sum 'Ta4 Fe2 As2'
_cell_length_a 3.6848
_cell_length_b 3.2725
_cell_length_c 10.3143
_cell_angle_alpha 90.00
_cell_angle_beta 90.00
_cell_angle_gamma 90.00
_space_group_name_H-M_alt 'A m m 2'
_space_group_IT_number 38
loop_
_space_group_symop_operation_xyz
'x,y,z'
'-x,-y,z'
'-x,y,z'
'x,-y,z'
'x,y+1/2,z+1/2'
'-x,-y+1/2,z+1/2'
'-x,y+1/2,z+1/2'
'x,-y+1/2,z+1/2'
loop_
_atom_site_label
_atom_site_fract_x
_atom_site_fract_y
_atom_site_fract_z
_atom_site_occupancy
Ta1 0.0000 0.0000 0.0000 1
Ta2 0.5000 0.0000 0.3324 1
Fe1 0.0000 0.0000 0.7409 1
As1 0.5000 0.0000 0.5983 1
```